Theoretical X-ray diffraction stick pattern of Er12ZnNi5 for CuKα, from a GGA-PBE-relaxed structure.
No peak broadening, texture or thermal motion is included.

Crystal structure
Lattice parameters (Å, degrees): 8.176 8.176 8.176 111.24 110.12 107.08
Atoms (fractional coordinates):
Er 0.039 0.227 0.812
Er 0.180 0.283 0.463
Er 0.180 0.717 0.897
Er 0.325 0.020 0.695
Er 0.325 0.630 0.305
Er 0.415 0.227 0.188
Er 0.585 0.773 0.812
Er 0.675 0.370 0.695
Er 0.675 0.980 0.305
Er 0.820 0.283 0.103
Er 0.820 0.717 0.537
Er 0.961 0.773 0.188
Zn 0.500 0.500 0.000
Ni 0.000 0.000 0.000
Ni 0.122 0.622 0.500
Ni 0.354 0.000 0.354
Ni 0.646 0.000 0.646
Ni 0.878 0.378 0.500

The 6 most intense peaks (2θ from 10° to 80°), by angle:
30.58°, rel. 324
32.89°, rel. 1000
35.17°, rel. 586
35.54°, rel. 636
35.93°, rel. 517
61.37°, rel. 337

---

Theoretical X-ray diffraction stick pattern of Er5ZnNi4 for CuKα, from a GGA-PBE-relaxed structure.
No peak broadening, texture or thermal motion is included.

Crystal structure
Lattice parameters (Å, degrees): 3.372 3.372 17.024 90.00 90.00 90.00
Atoms (fractional coordinates):
Er 0.000 0.000 0.000
Er 0.000 0.000 0.195
Er 0.000 0.000 0.388
Er 0.000 0.000 0.612
Er 0.000 0.000 0.805
Zn 0.500 0.500 0.500
Ni 0.500 0.500 0.097
Ni 0.500 0.500 0.295
Ni 0.500 0.500 0.705
Ni 0.500 0.500 0.903

The 6 most intense peaks (2θ from 10° to 80°), by angle:
26.43°, rel. 234
37.54°, rel. 1000
37.73°, rel. 517
54.42°, rel. 177
67.62°, rel. 152
67.99°, rel. 341

---

Theoretical X-ray diffraction stick pattern of ErZn2Ni8 for CuKα, from a GGA-PBE-relaxed structure.
No peak broadening, texture or thermal motion is included.

Crystal structure
Lattice parameters (Å, degrees): 4.644 4.644 8.233 90.00 90.00 90.00
Atoms (fractional coordinates):
Er 0.000 0.000 0.000
Zn 0.000 0.500 0.500
Zn 0.500 0.000 0.500
Ni 0.252 0.252 0.269
Ni 0.252 0.252 0.731
Ni 0.252 0.748 0.269
Ni 0.252 0.748 0.731
Ni 0.748 0.252 0.269
Ni 0.748 0.252 0.731
Ni 0.748 0.748 0.269
Ni 0.748 0.748 0.731

The 6 most intense peaks (2θ from 10° to 80°), by angle:
21.97°, rel. 274
29.28°, rel. 467
43.99°, rel. 237
44.81°, rel. 1000
56.01°, rel. 258
73.83°, rel. 186

---

Theoretical X-ray diffraction stick pattern of ErZnNi5 for CuKα, from a GGA-PBE-relaxed structure.
No peak broadening, texture or thermal motion is included.

Crystal structure
Lattice parameters (Å, degrees): 7.866 4.783 9.967 90.00 90.00 90.00
Atoms (fractional coordinates):
Er 0.245 0.250 0.060
Er 0.255 0.750 0.560
Er 0.745 0.250 0.440
Er 0.755 0.750 0.940
Zn 0.140 0.750 0.858
Zn 0.360 0.250 0.358
Zn 0.640 0.750 0.642
Zn 0.860 0.250 0.142
Ni 0.052 0.750 0.097
Ni 0.067 0.004 0.308
Ni 0.067 0.496 0.308
Ni 0.095 0.250 0.518
Ni 0.186 0.250 0.750
Ni 0.314 0.750 0.250
Ni 0.405 0.750 0.018
Ni 0.433 0.504 0.808
Ni 0.433 0.996 0.808
Ni 0.448 0.250 0.597
Ni 0.552 0.750 0.403
Ni 0.567 0.004 0.192
Ni 0.567 0.496 0.192
Ni 0.595 0.250 0.982
Ni 0.686 0.250 0.750
Ni 0.814 0.750 0.250
Ni 0.905 0.750 0.482
Ni 0.933 0.504 0.692
Ni 0.933 0.996 0.692
Ni 0.948 0.250 0.903

The 6 most intense peaks (2θ from 10° to 80°), by angle:
37.61°, rel. 187
37.88°, rel. 291
40.24°, rel. 1000
47.06°, rel. 227
69.65°, rel. 183
70.00°, rel. 203

---

Theoretical X-ray diffraction stick pattern of Er2ZnNi9 for CuKα, from a GGA-PBE-relaxed structure.
No peak broadening, texture or thermal motion is included.

Crystal structure
Lattice parameters (Å, degrees): 8.477 8.477 8.477 33.46 33.46 33.46
Atoms (fractional coordinates):
Er 0.135 0.135 0.135
Er 0.865 0.865 0.865
Zn 0.000 0.000 0.000
Ni 0.080 0.583 0.583
Ni 0.333 0.333 0.333
Ni 0.417 0.417 0.920
Ni 0.417 0.920 0.417
Ni 0.500 0.500 0.500
Ni 0.583 0.080 0.583
Ni 0.583 0.583 0.080
Ni 0.667 0.667 0.667
Ni 0.920 0.417 0.417

The 6 most intense peaks (2θ from 10° to 80°), by angle:
33.67°, rel. 457
36.79°, rel. 1000
42.96°, rel. 395
43.44°, rel. 868
46.88°, rel. 299
46.98°, rel. 348

---

Theoretical X-ray diffraction stick pattern of Er2ZnNi7 for CuKα, from a GGA-PBE-relaxed structure.
No peak broadening, texture or thermal motion is included.

Crystal structure
Lattice parameters (Å, degrees): 3.752 3.752 10.461 90.00 90.00 90.00
Atoms (fractional coordinates):
Er 0.000 0.500 0.237
Er 0.500 0.000 0.763
Zn 0.000 0.000 0.500
Ni 0.000 0.000 0.000
Ni 0.000 0.500 0.645
Ni 0.000 0.500 0.861
Ni 0.500 0.000 0.139
Ni 0.500 0.000 0.355
Ni 0.500 0.500 0.000
Ni 0.500 0.500 0.500

The 6 most intense peaks (2θ from 10° to 80°), by angle:
35.13°, rel. 564
38.03°, rel. 1000
48.53°, rel. 428
49.91°, rel. 328
61.31°, rel. 220
72.18°, rel. 250

---

Theoretical X-ray diffraction stick pattern of ErZn10Ni2 for CuKα, from a GGA-PBE-relaxed structure.
No peak broadening, texture or thermal motion is included.

Crystal structure
Lattice parameters (Å, degrees): 8.834 6.770 6.688 82.05 49.38 48.57
Atoms (fractional coordinates):
Er 0.000 0.000 0.000
Zn 0.000 0.500 0.000
Zn 0.015 0.653 0.347
Zn 0.284 0.507 0.493
Zn 0.347 0.985 0.015
Zn 0.493 0.716 0.284
Zn 0.500 0.000 0.500
Zn 0.507 0.284 0.716
Zn 0.653 0.015 0.985
Zn 0.716 0.493 0.507
Zn 0.985 0.347 0.653
Ni 0.000 0.000 0.500
Ni 0.500 0.500 0.000

The 6 most intense peaks (2θ from 10° to 80°), by angle:
35.37°, rel. 509
40.83°, rel. 1000
41.24°, rel. 552
41.47°, rel. 643
46.37°, rel. 199
74.83°, rel. 215

---

Theoretical X-ray diffraction stick pattern of ErZrNi for CuKα, from a GGA-PBE-relaxed structure.
No peak broadening, texture or thermal motion is included.

Crystal structure
Lattice parameters (Å, degrees): 10.356 9.589 5.545 81.65 66.36 31.99
Atoms (fractional coordinates):
Er 0.043 0.707 0.043
Er 0.293 0.957 0.293
Er 0.707 0.043 0.707
Er 0.957 0.293 0.957
Zr 0.290 0.290 0.460
Zr 0.460 0.460 0.290
Zr 0.540 0.540 0.710
Zr 0.710 0.710 0.540
Ni 0.000 0.000 0.250
Ni 0.000 0.000 0.750
Ni 0.250 0.250 0.000
Ni 0.750 0.750 0.000

The 6 most intense peaks (2θ from 10° to 80°), by angle:
32.67°, rel. 702
33.70°, rel. 725
34.78°, rel. 481
35.55°, rel. 615
39.13°, rel. 451
42.47°, rel. 1000

---

Theoretical X-ray diffraction stick pattern of ErNp2O6 for CuKα, from a GGA-PBE-relaxed structure.
No peak broadening, texture or thermal motion is included.

Crystal structure
Lattice parameters (Å, degrees): 3.815 3.815 9.115 90.00 90.00 120.00
Atoms (fractional coordinates):
Er 0.000 0.000 0.000
Np 0.333 0.667 0.670
Np 0.667 0.333 0.330
O 0.000 0.000 0.260
O 0.000 0.000 0.740
O 0.333 0.667 0.418
O 0.333 0.667 0.907
O 0.667 0.333 0.093
O 0.667 0.333 0.582

The 6 most intense peaks (2θ from 10° to 80°), by angle:
28.74°, rel. 1000
29.40°, rel. 309
33.50°, rel. 470
47.68°, rel. 329
48.53°, rel. 315
57.01°, rel. 299

---

Theoretical X-ray diffraction stick pattern of Er3NpO8 for CuKα, from a GGA-PBE-relaxed structure.
No peak broadening, texture or thermal motion is included.

Crystal structure
Lattice parameters (Å, degrees): 5.283 5.283 5.283 90.00 90.00 90.00
Atoms (fractional coordinates):
Er 0.000 0.000 0.500
Er 0.000 0.500 0.000
Er 0.500 0.000 0.000
Np 0.500 0.500 0.500
O 0.261 0.261 0.261
O 0.261 0.261 0.739
O 0.261 0.739 0.261
O 0.261 0.739 0.739
O 0.739 0.261 0.261
O 0.739 0.261 0.739
O 0.739 0.739 0.261
O 0.739 0.739 0.739

The 6 most intense peaks (2θ from 10° to 80°), by angle:
29.28°, rel. 1000
33.94°, rel. 340
48.76°, rel. 502
57.89°, rel. 450
60.73°, rel. 96
79.00°, rel. 185

---

Theoretical X-ray diffraction stick pattern of ErNp2O7 for CuKα, from a GGA-PBE-relaxed structure.
No peak broadening, texture or thermal motion is included.

Crystal structure
Lattice parameters (Å, degrees): 10.368 10.368 10.368 21.14 21.14 21.14
Atoms (fractional coordinates):
Er 0.000 0.000 0.000
Np 0.432 0.432 0.432
Np 0.568 0.568 0.568
O 0.077 0.077 0.077
O 0.220 0.220 0.220
O 0.361 0.361 0.361
O 0.500 0.500 0.500
O 0.639 0.639 0.639
O 0.780 0.780 0.780
O 0.923 0.923 0.923

The 6 most intense peaks (2θ from 10° to 80°), by angle:
26.39°, rel. 471
27.71°, rel. 1000
30.88°, rel. 578
34.17°, rel. 682
47.83°, rel. 564
50.33°, rel. 443

---

Theoretical X-ray diffraction stick pattern of Pm2ErNpO8 for CuKα, from a GGA-PBE-relaxed structure.
No peak broadening, texture or thermal motion is included.

Crystal structure
Lattice parameters (Å, degrees): 3.905 7.521 5.502 90.00 94.30 90.00
Atoms (fractional coordinates):
Pm 0.000 0.241 0.000
Pm 0.000 0.759 0.000
Er 0.500 0.000 0.500
Np 0.500 0.500 0.500
O 0.008 0.000 0.255
O 0.050 0.500 0.281
O 0.469 0.277 0.730
O 0.469 0.723 0.730
O 0.531 0.277 0.270
O 0.531 0.723 0.270
O 0.950 0.500 0.719
O 0.992 0.000 0.745

The 6 most intense peaks (2θ from 10° to 80°), by angle:
27.07°, rel. 588
28.78°, rel. 1000
29.10°, rel. 493
33.12°, rel. 459
45.87°, rel. 389
48.45°, rel. 479